For Zn3P2, a DFT-relaxed cell (GGA-PBE, OQMD) gives the theoretical powder diffraction line list in this record (Cu Kα, 1.54184 Å).
Neutral-atom scattering factors, no anomalous dispersion.

Structural model:
a = 9.888 Å, b = 9.888 Å, c = 9.888 Å
α = 109.47°, β = 109.47°, γ = 109.47°
Atoms (fractional coordinates):
Zn1 0.010 0.476 0.747
Zn2 0.024 0.034 0.272
Zn3 0.034 0.272 0.024
Zn4 0.228 0.263 0.753
Zn5 0.237 0.466 0.490
Zn6 0.247 0.772 0.737
Zn7 0.253 0.990 0.524
Zn8 0.263 0.753 0.228
Zn9 0.272 0.024 0.034
Zn10 0.466 0.490 0.237
Zn11 0.476 0.747 0.010
Zn12 0.490 0.237 0.466
Zn13 0.510 0.763 0.534
Zn14 0.524 0.253 0.990
Zn15 0.534 0.510 0.763
Zn16 0.728 0.976 0.966
Zn17 0.737 0.247 0.772
Zn18 0.747 0.010 0.476
Zn19 0.753 0.228 0.263
Zn20 0.763 0.534 0.510
Zn21 0.772 0.737 0.247
Zn22 0.966 0.728 0.976
Zn23 0.976 0.966 0.728
Zn24 0.990 0.524 0.253
P1 0.000 0.000 0.500
P2 0.000 0.500 0.000
P3 0.010 0.750 0.760
P4 0.240 0.990 0.250
P5 0.250 0.240 0.990
P6 0.250 0.740 0.490
P7 0.260 0.510 0.750
P8 0.490 0.250 0.740
P9 0.500 0.000 0.000
P10 0.500 0.500 0.500
P11 0.510 0.750 0.260
P12 0.740 0.490 0.250
P13 0.750 0.260 0.510
P14 0.750 0.760 0.010
P15 0.760 0.010 0.750
P16 0.990 0.250 0.240

Main lines, by intensity (15 to 90 degrees two-theta):
| two_theta | I_rel |
| --- | --- |
| 44.91 | 100 |
| 29.27 | 52 |
| 31.34 | 44 |
| 36.93 | 34 |
| 59.49 | 24 |
| 82.84 | 20 |
| 64.23 | 18 |
| 27.05 | 17 |
| 19.04 | 13 |
| 65.39 | 12 |